# 1
NaMo4O6: theoretical powder diffraction line list (Cu Kα X-rays), based on DFT lattice parameters and positions (PBE+U).
Peak positions follow from Bragg's law for the DFT cell and can differ from measured ones.

```
data_NaMo4O6
_chemical_formula_sum 'Na2 Mo8 O12'
_cell_length_a 10.0298
_cell_length_b 10.0298
_cell_length_c 3.2640
_cell_angle_alpha 90.00
_cell_angle_beta 90.00
_cell_angle_gamma 90.00
_symmetry_space_group_name_H-M 'P 4/m b m'
_symmetry_Int_Tables_number 127
_symmetry_space_group_name_Hall '-P 4 2ab'
loop_
_atom_site_label
_atom_site_type_symbol
_atom_site_fract_x
_atom_site_fract_y
_atom_site_fract_z
Na1 Na 0.0000 0.0000 0.0000
Mo1 Mo 0.1165 0.3835 0.5000
Mo2 Mo 0.1532 0.6532 0.0000
O1 O 0.0487 0.7467 0.5000
O2 O 0.2034 0.2966 0.0000
```

The 10 most intense peaks (10 to 90 degrees two-theta), in order of falling intensity:
| (hkl) | 2θ/deg | I/Imax |
| --- | --- | --- |
| 1 1 0 | 12.5 | 100 |
| 2 1 1 | 34.0 | 90 |
| 3 1 0 | 28.1 | 66 |
| 3 2 1 | 42.7 | 43 |
| 5 2 1 | 56.9 | 29 |
| 4 0 0 | 35.8 | 22 |
| 3 3 0 | 38.1 | 16 |
| 6 1 1 | 63.2 | 15 |
| 4 4 0 | 51.5 | 14 |
| 3 2 0 | 32.2 | 12 |

# 2
NaMoO4: theoretical powder diffraction line list (Cu Kα X-rays), based on DFT lattice parameters and positions (PBE+U).
Peak positions follow from Bragg's law for the DFT cell and can differ from measured ones.

```
data_NaMoO4
_chemical_formula_sum 'Na2 Mo2 O8'
_cell_length_a 4.0636
_cell_length_b 7.6683
_cell_length_c 6.2141
_cell_angle_alpha 90.00
_cell_angle_beta 94.70
_cell_angle_gamma 90.00
_symmetry_space_group_name_H-M 'P 1 21/m 1'
_symmetry_Int_Tables_number 11
loop_
_symmetry_equiv_pos_as_xyz
'x,y,z'
'-x,-y,-z'
'-x,y+1/2,-z'
'x,-y+1/2,z'
loop_
_atom_site_label
_atom_site_type_symbol
_atom_site_fract_x
_atom_site_fract_y
_atom_site_fract_z
Na1 Na 0.1408 0.2500 0.1540
Mo1 Mo 0.3316 0.7500 0.3421
O1 O 0.2107 0.2500 0.6676
O2 O 0.2409 0.5525 0.1904
O3 O 0.3097 0.7500 0.6298
```

The 10 most intense peaks (10 to 90 degrees two-theta), in order of falling intensity:
| (hkl) | 2θ/deg | I/Imax |
| --- | --- | --- |
| 0 1 1 | 18.4 | 100 |
| 0 2 0 | 23.2 | 86 |
| 1 0 -1 | 25.3 | 71 |
| 1 1 1 | 29.7 | 54 |
| 1 1 0 | 24.9 | 51 |
| 0 1 2 | 31.1 | 50 |
| 0 2 1 | 27.3 | 43 |
| 0 0 1 | 14.3 | 36 |
| 1 3 1 | 45.0 | 29 |
| 0 3 2 | 46.0 | 26 |

# 3
NaMo2P3O13: theoretical powder diffraction line list (Cu Kα X-rays), based on DFT lattice parameters and positions (PBE+U).
Peak positions follow from Bragg's law for the DFT cell and can differ from measured ones.

```
data_NaMo2P3O13
_chemical_formula_sum 'Na2 Mo4 P6 O26'
_cell_length_a 6.4688
_cell_length_b 7.5749
_cell_length_c 11.6605
_cell_angle_alpha 76.48
_cell_angle_beta 86.03
_cell_angle_gamma 79.11
_symmetry_space_group_name_H-M 'P -1'
_symmetry_Int_Tables_number 2
loop_
_symmetry_equiv_pos_as_xyz
'x,y,z'
'-x,-y,-z'
loop_
_atom_site_label
_atom_site_type_symbol
_atom_site_fract_x
_atom_site_fract_y
_atom_site_fract_z
Na1 Na 0.1995 0.4286 0.2076
Mo1 Mo 0.2642 0.8058 0.3982
Mo2 Mo 0.2851 0.8039 0.9028
P1 P 0.2309 0.2157 0.6685
P2 P 0.2350 0.0580 0.1150
P3 P 0.3777 0.5477 0.6791
O1 O 0.0210 0.2728 0.6056
O2 O 0.0256 0.1889 0.1351
O3 O 0.1914 0.0289 0.4100
O4 O 0.2318 0.0060 0.9959
O5 O 0.2415 0.3846 0.7323
O6 O 0.2448 0.0408 0.7629
O7 O 0.2578 0.6682 0.5718
O8 O 0.2756 0.8822 0.2144
O9 O 0.2819 0.6281 0.0266
O10 O 0.3712 0.6466 0.7791
O11 O 0.3953 0.5377 0.3464
O12 O 0.4013 0.1825 0.1136
O13 O 0.4172 0.2119 0.5797
```

The 10 most intense peaks (10 to 90 degrees two-theta), in order of falling intensity:
| (hkl) | 2θ/deg | I/Imax |
| --- | --- | --- |
| 0 1 -2 | 22.0 | 100 |
| 0 1 2 | 17.6 | 58 |
| 1 1 0 | 16.8 | 54 |
| 2 0 0 | 28.1 | 53 |
| 0 2 2 | 26.0 | 36 |
| 1 1 2 | 20.8 | 28 |
| -1 1 2 | 24.1 | 23 |
| 2 1 0 | 28.6 | 18 |
| 0 1 0 | 12.2 | 17 |
| 3 1 0 | 42.3 | 16 |